For Na2Nb3O6, a cell relaxed with PBE gives the simulated XRD peak list in this record (Cu Kα).

Crystal structure
a = 7.038 Å, b = 7.038 Å, c = 7.038 Å
α = 66.30°, β = 66.30°, γ = 66.30°
Atoms (fractional coordinates):
Na1 0.080 0.080 0.080
Na2 0.420 0.420 0.420
Na3 0.580 0.580 0.580
Na4 0.920 0.920 0.920
Nb1 0.039 0.250 0.461
Nb2 0.250 0.461 0.039
Nb3 0.461 0.039 0.250
Nb4 0.539 0.961 0.750
Nb5 0.750 0.539 0.961
Nb6 0.961 0.750 0.539
O1 0.078 0.614 0.804
O2 0.114 0.578 0.304
O3 0.196 0.922 0.386
O4 0.304 0.114 0.578
O5 0.386 0.196 0.922
O6 0.422 0.696 0.886
O7 0.578 0.304 0.114
O8 0.614 0.804 0.078
O9 0.696 0.886 0.422
O10 0.804 0.078 0.614
O11 0.886 0.422 0.696
O12 0.922 0.386 0.196

Peak list (10 most intense, 10° ≤ 2θ ≤ 90°, sorted by position)
- 2θ 17.16, I 100
- 2θ 25.54, I 24
- 2θ 28.38, I 64
- 2θ 32.82, I 20
- 2θ 36.07, I 36
- 2θ 37.35, I 52
- 2θ 45.42, I 62
- 2θ 50.28, I 18
- 2θ 53.46, I 37
- 2θ 64.01, I 19